Computed powder X-ray diffraction pattern
Compound: Li6FeCoP2C2O14
Radiation: λ = 1.5418 Å (Cu Kα)
Structure: a cell relaxed with GGA+U

Peak list (10 most intense, 2θ from 15° to 90°, by angle)
| (hkl) | 2theta | d (Å) | intensity |
| --- | --- | --- | --- |
| 0 1 1 | 17.31 | 5.124 | 27 |
| 1 0 -1 | 19.63 | 4.523 | 35 |
| 1 0 1 | 21.64 | 4.106 | 62 |
| 1 1 1 | 25.74 | 3.461 | 19 |
| 1 0 -2 | 26.05 | 3.421 | 35 |
| 0 2 0 | 27.73 | 3.217 | 100 |
| 0 0 3 | 31.68 | 2.824 | 17 |
| 2 0 -1 | 36.40 | 2.468 | 35 |
| 1 1 3 | 40.89 | 2.207 | 27 |
| 0 4 0 | 57.26 | 1.609 | 28 |

Structure:
```
data_Li6FeCoP2C2O14
_chemical_formula_sum 'Li6 Fe1 Co1 P2 C2 O14'
_space_group_name_H-M_alt 'P 1 m 1'
_space_group_IT_number 6
_cell_length_a 5.020
_cell_length_b 6.434
_cell_length_c 8.525
_cell_angle_alpha 90.00
_cell_angle_beta 96.33
_cell_angle_gamma 90.00
loop_
_space_group_symop_operation_xyz
'x,y,z'
'x,-y,z'
loop_
_atom_site_label
_atom_site_type_symbol
_atom_site_fract_x
_atom_site_fract_y
_atom_site_fract_z
Li1 Li 0.000 0.000 0.000
Li2 Li 0.072 0.264 0.623
Li3 Li 0.530 0.233 0.169
Li4 Li 0.596 0.500 0.791
Fe1 Fe 0.589 0.000 0.563
Co1 Co 0.007 0.500 0.228
P1 P 0.070 0.000 0.306
P2 P 0.534 0.500 0.483
C1 C 0.125 0.500 0.937
C2 C 0.469 0.000 0.858
O1 O 0.199 0.500 0.795
O2 O 0.221 0.500 0.462
O3 O 0.286 0.000 0.735
O4 O 0.304 0.500 0.061
O5 O 0.384 0.000 0.324
O6 O 0.399 0.000 0.000
O7 O 0.637 0.500 0.320
O8 O 0.641 0.313 0.589
O9 O 0.717 0.000 0.831
O10 O 0.875 0.500 0.961
O11 O 0.960 0.188 0.202
O12 O 0.972 0.000 0.470
```